For HoHg2Br8, a crystal structure in Alexandria, relaxed with PBE gives the calculated XRD peak list in this record (Cu Kα (weighted mean of Kα1 and Kα2)).
Lines closer than 0.1° are merged.

Crystal structure
a b c (Å): 8.405 8.405 6.778
angles (deg): 100.40 100.40 66.78
Fractional coordinates of all 11 atoms:
Ho1 0.000 0.000 0.000
Hg1 0.198 0.198 0.693
Hg2 0.802 0.802 0.307
Br1 0.131 0.709 0.217
Br2 0.179 0.179 0.280
Br3 0.291 0.869 0.783
Br4 0.383 0.383 0.818
Br5 0.617 0.617 0.182
Br6 0.709 0.131 0.217
Br7 0.821 0.821 0.720
Br8 0.869 0.291 0.783

Peak list (6 most intense, 10 to 80 degrees two-theta, by angle)
d_spacing	intensity
7.668	100
4.735	62
4.626	61
3.833	58
2.670	80
2.048	60